For Rb2U6Pd4S17, DFT lattice parameters and positions (GGA-PBE) gives the computed powder X-ray diffraction pattern in this record (Cu Kα (weighted mean of Kα1 and Kα2)).
Intensities are scaled so that the largest is 100.

Structural model:
Unit cell a=10.312 b=10.312 c=12.715 alpha=90.00 beta=90.00 gamma=90.00
Fractional coordinates of all 58 atoms:
Rb 0.000 0.000 0.216
Rb 0.000 0.000 0.784
Rb 0.500 0.500 0.284
Rb 0.500 0.500 0.716
U 0.000 0.500 0.250
U 0.000 0.500 0.750
U 0.118 0.239 0.500
U 0.239 0.882 0.500
U 0.261 0.382 0.000
U 0.382 0.739 0.000
U 0.500 0.000 0.250
U 0.500 0.000 0.750
U 0.618 0.261 0.000
U 0.739 0.618 0.000
U 0.761 0.118 0.500
U 0.882 0.761 0.500
Pd 0.064 0.639 0.000
Pd 0.139 0.564 0.500
Pd 0.361 0.064 0.000
Pd 0.436 0.139 0.500
Pd 0.564 0.861 0.500
Pd 0.639 0.936 0.000
Pd 0.861 0.436 0.500
Pd 0.936 0.361 0.000
S 0.000 0.000 0.500
S 0.082 0.293 0.134
S 0.082 0.293 0.866
S 0.090 0.724 0.367
S 0.090 0.724 0.633
S 0.207 0.418 0.366
S 0.207 0.418 0.634
S 0.224 0.590 0.133
S 0.224 0.590 0.867
S 0.276 0.090 0.367
S 0.276 0.090 0.633
S 0.293 0.918 0.134
S 0.293 0.918 0.866
S 0.410 0.224 0.133
S 0.410 0.224 0.867
S 0.418 0.793 0.366
S 0.418 0.793 0.634
S 0.500 0.500 0.000
S 0.582 0.207 0.366
S 0.582 0.207 0.634
S 0.590 0.776 0.133
S 0.590 0.776 0.867
S 0.707 0.082 0.134
S 0.707 0.082 0.866
S 0.724 0.910 0.367
S 0.724 0.910 0.633
S 0.776 0.410 0.133
S 0.776 0.410 0.867
S 0.793 0.582 0.366
S 0.793 0.582 0.634
S 0.910 0.276 0.367
S 0.910 0.276 0.633
S 0.918 0.707 0.134
S 0.918 0.707 0.866

Top 6 peaks for 10 to 90 degrees two-theta, by angle:
2θ (°)  d (Å)  Rel. int.
11.05  8.009  59
12.14  7.292  80
22.20  4.005  95
28.23  3.161  72
34.38  2.608  52
34.71  2.584  100